# Cr3PdSe
Theoretical powder diffractogram, Cu Ka. Input: the GGA-PBE geometry in Alexandria.
Peak positions follow from Bragg's law for the DFT cell and can differ from measured ones.

The 10 most intense peaks (2θ = 15–90°), sorted by position:
2θ (°)  I (rel.)  hkl
18.18  35  1 0 0
25.82  75  1 1 0
31.76  30  1 1 1
36.83  100  2 0 0
41.37  16  2 1 0
45.53  33  2 1 1
53.08  66  2 2 0
66.35  21  2 2 2
72.46  17  3 2 1
89.89  28  4 2 0

Cell and atoms:
a = 4.880 Å, b = 4.880 Å, c = 4.880 Å
α = 90.00°, β = 90.00°, γ = 90.00°
Atoms (fractional coordinates):
Cr: 0.000 0.000 0.500
Cr: 0.000 0.500 0.000
Cr: 0.500 0.000 0.000
Pd: 0.000 0.000 0.000
Se: 0.500 0.500 0.500